No. 1
For CaPm5Tm3, a cell relaxed with PBE gives the calculated powder XRD pattern in this record (Cu Kα).

Structural model:
```
CaPm5Tm3
1.0
8.515 -4.986 0.000
8.515 4.986 0.000
0.000 0.000 7.057
Ca Pm Tm
2 10 6
Cartesian
8.515 3.521 5.292
8.515 -3.521 1.764
5.470 1.841 1.764
8.515 3.036 1.764
5.847 1.427 5.292
5.847 -1.427 1.764
11.560 1.841 1.764
5.470 -1.841 5.292
11.184 1.427 5.292
11.184 -1.427 1.764
8.515 -3.036 5.292
11.560 -1.841 5.292
2.887 0.000 0.000
2.887 0.000 3.528
8.515 0.000 0.000
8.515 0.000 3.528
14.143 0.000 0.000
14.143 0.000 3.528
```

Most intense lines, 2θ from 10° to 90°, sorted by position:
2theta  Rel. int.
31.05  27
31.17  100
31.52  25
44.50  8
44.83  19
55.31  13
55.91  17
61.73  14

***

No. 2
For CaPm6Tm6, a cell relaxed with PBE gives the calculated powder XRD pattern in this record (Cu Kα).

Structural model:
```
CaPm6Tm6
1.0
6.759 0.000 0.000
-3.379 5.853 0.000
0.000 0.000 11.362
Ca Pm Tm
1 6 6
Cartesian
0.000 0.000 0.000
0.000 0.000 3.925
0.000 0.000 7.437
0.000 3.902 0.000
0.000 3.902 5.681
3.379 1.951 0.000
3.379 1.951 5.681
-1.690 2.927 2.821
-1.690 2.927 8.541
3.379 0.000 2.821
3.379 0.000 8.541
1.690 2.927 2.821
1.690 2.927 8.541
```

Most intense lines, 2θ from 10° to 90°, sorted by position:
2theta  Rel. int.
30.54  41
30.78  54
31.50  24
34.47  100
35.12  33
52.42  21
54.29  27
55.63  21

***

What did the second record say?
For CaPm6Tm6, a cell relaxed with PBE gives the calculated powder XRD pattern in this record (Cu Kα).

Structural model:
```
CaPm6Tm6
1.0
6.759 0.000 0.000
-3.379 5.853 0.000
0.000 0.000 11.362
Ca Pm Tm
1 6 6
Cartesian
0.000 0.000 0.000
0.000 0.000 3.925
0.000 0.000 7.437
0.000 3.902 0.000
0.000 3.902 5.681
3.379 1.951 0.000
3.379 1.951 5.681
-1.690 2.927 2.821
-1.690 2.927 8.541
3.379 0.000 2.821
3.379 0.000 8.541
1.690 2.927 2.821
1.690 2.927 8.541
```

Most intense lines, 2θ from 10° to 90°, sorted by position:
2theta  Rel. int.
30.54  41
30.78  54
31.50  24
34.47  100
35.12  33
52.42  21
54.29  27
55.63  21

***

What is the formula in the second record?
CaPm6Tm6